# 1
Simulated powder diffraction line list of PaMnNiH6 for Cu Kα, 1.54184 Å, from a cell relaxed with GGA-PBE.

Largest 10 diffraction maxima, sorted by position, 10° ≤ 2θ ≤ 80°:
2θ 23.6, intensity 33, (1 0 0); 2θ 32.0, intensity 100, (1 0 1); 2θ 41.5, intensity 36, (1 1 0); 2θ 43.3, intensity 10, (0 0 2); 2θ 49.9, intensity 10, (1 0 2); 2θ 53.3, intensity 24, (2 0 1); 2θ 61.5, intensity 22, (1 1 2); 2θ 69.7, intensity 21, (2 1 1); 2θ 72.4, intensity 10, (1 0 3); 2θ 75.6, intensity 6, (3 0 0)

Crystal structure
Unit cell a=4.3553 b=4.3553 c=4.1764 alpha=90.00 beta=90.00 gamma=120.00
Space group P-6m2 (No. 187)
Inequivalent atoms, fractional coordinates:
Pa (0.0000, 0.0000, 0.0000)
Mn (0.6667, 0.3333, 0.5000)
Ni (0.3333, 0.6667, 0.5000)
H (0.5019, 0.0038, 0.2315)



# 2
Simulated powder diffraction line list of MnReNi2H for Cu Kα, 1.54184 Å, from a cell relaxed with GGA-PBE.

Largest 10 diffraction maxima, sorted by position, 10° ≤ 2θ ≤ 80°:
2θ 22.7, intensity 11, (0 0 1); 2θ 24.7, intensity 25, (1 0 0); 2θ 33.8, intensity 22, (1 0 1); 2θ 35.2, intensity 7, (1 1 0); 2θ 42.3, intensity 100, (1 1 1); 2θ 46.4, intensity 19, (0 0 2); 2θ 50.6, intensity 30, (2 0 0); 2θ 62.2, intensity 8, (2 1 1); 2θ 71.1, intensity 21, (2 0 2); 2θ 74.4, intensity 9, (2 2 0)

Crystal structure
Unit cell a=3.608 b=3.608 c=3.913 alpha=90.00 beta=90.00 gamma=90.00
Space group P4/mmm (No. 123)
Inequivalent atoms, fractional coordinates:
Mn (0.000, 0.000, 0.000)
Re (0.500, 0.500, 0.000)
Ni (0.000, 0.500, 0.500)
H (0.500, 0.500, 0.500)



# 3
Simulated powder diffraction line list of Ti2MnNiH for Cu Kα, 1.54184 Å, from a cell relaxed with GGA-PBE.

Largest 9 diffraction maxima, sorted by position, 10° ≤ 2θ ≤ 80°:
2θ 27.1, intensity 1, (0 0 1); 2θ 30.6, intensity 2, (1 1 0); 2θ 41.3, intensity 100, (1 1 1); 2θ 43.8, intensity 43, (2 0 0); 2θ 52.3, intensity 1, (2 0 1); 2θ 56.0, intensity 10, (0 0 2); 2θ 63.6, intensity 13, (2 2 0); 2θ 73.6, intensity 16, (2 0 2); 2θ 78.7, intensity 25, (3 1 1)

Crystal structure
Unit cell a=4.136 b=4.136 c=3.286 alpha=90.00 beta=90.00 gamma=90.00
Space group P4/mmm (No. 123)
Inequivalent atoms, fractional coordinates:
Ti (0.000, 0.500, 0.000)
Mn (0.000, 0.000, 0.500)
Ni (0.500, 0.500, 0.500)
H (0.000, 0.000, 0.000)



# 4
Simulated powder diffraction line list of NpMnH8Rh2 for Cu Kα, 1.54184 Å, from a cell relaxed with GGA-PBE.

Largest 10 diffraction maxima, sorted by position, 10° ≤ 2θ ≤ 80°:
2θ 22.9, intensity 64, (1 0 1); 2θ 31.4, intensity 100, (1 0 4); 2θ 35.6, intensity 58, (0 1 5); 2θ 39.0, intensity 83, (1 1 0); 2θ 50.9, intensity 26, (0 2 4); 2θ 52.0, intensity 20, (2 -1 6); 2θ 53.8, intensity 19, (2 0 5); 2θ 61.6, intensity 26, (1 0 10); 2θ 65.6, intensity 18, (1 1 9); 2θ 65.9, intensity 24, (3 -1 4)

Crystal structure
Unit cell a=4.6197 b=4.6197 c=16.2484 alpha=90.00 beta=90.00 gamma=120.00
Space group R-3 (No. 148, hexagonal axes)
Inequivalent atoms, fractional coordinates:
Np (0.0000, 0.0000, 0.0000)
Mn (0.0000, 0.0000, 0.5000)
H (0.0000, 0.0000, 0.3157)
H (0.0148, 0.6308, 0.7783)
Rh (0.0000, 0.0000, 0.2121)